[1]
For Sr2TmPuS4, a cell relaxed with GGA-PBE gives the simulated XRD peak list in this record (CuKα).
Neutral-atom scattering factors, no anomalous dispersion.

Cell and atoms:
a = 7.0245 Å, b = 4.0492 Å, c = 7.1588 Å
α = 90.00°, β = 109.12°, γ = 90.00°
Fractional positions:
Sr1 0.0000 0.0000 0.0000
Sr2 0.5000 0.5000 0.0000
Tm1 0.0000 0.5000 0.5000
Pu1 0.5000 0.0000 0.5000
S1 0.2350 0.0000 0.7265
S2 0.2508 0.5000 0.2709
S3 0.7492 0.5000 0.7291
S4 0.7650 0.0000 0.2735

The 10 most intense peaks (2θ = 10–80°), by angle:
d 6.764, 2θ = 13.09°, I = 29
d 3.382, 2θ = 26.35°, I = 20
d 3.317, 2θ = 26.88°, I = 55
d 2.886, 2θ = 30.98°, I = 100
d 2.056, 2θ = 44.05°, I = 37
d 2.026, 2θ = 44.73°, I = 36
d 1.738, 2θ = 52.66°, I = 19
d 1.658, 2θ = 55.40°, I = 19
d 1.443, 2θ = 64.58°, I = 12
d 1.298, 2θ = 72.85°, I = 16

=====

[2]
For Tb2PuS4, a cell relaxed with GGA-PBE gives the simulated XRD peak list in this record (CuKα).
Neutral-atom scattering factors, no anomalous dispersion.

Cell and atoms:
a = 14.5413 Å, b = 4.0056 Å, c = 6.9040 Å
α = 90.00°, β = 115.29°, γ = 90.00°
Fractional positions:
Tb1 0.2256 0.0000 0.2198
Tb2 0.2744 0.5000 0.7802
Tb3 0.7256 0.5000 0.2198
Tb4 0.7744 0.0000 0.7802
Pu1 0.0000 0.5000 0.5000
Pu2 0.5000 0.0000 0.5000
S1 0.1290 0.5000 0.9454
S2 0.1409 0.0000 0.5094
S3 0.3591 0.5000 0.4906
S4 0.3710 0.0000 0.0546
S5 0.6290 0.0000 0.9454
S6 0.6409 0.5000 0.5094
S7 0.8591 0.0000 0.4906
S8 0.8710 0.5000 0.0546

The 10 most intense peaks (2θ = 10–80°), by angle:
d 5.978, 2θ = 14.82°, I = 36
d 3.790, 2θ = 23.47°, I = 33
d 3.614, 2θ = 24.64°, I = 32
d 3.463, 2θ = 25.72°, I = 100
d 3.447, 2θ = 25.85°, I = 54
d 2.957, 2θ = 30.23°, I = 43
d 2.416, 2θ = 37.21°, I = 57
d 2.353, 2θ = 38.24°, I = 47
d 2.285, 2θ = 39.44°, I = 30
d 1.993, 2θ = 45.51°, I = 47

=====

[3]
For TbPu6S8, a cell relaxed with GGA-PBE gives the simulated XRD peak list in this record (CuKα).
Neutral-atom scattering factors, no anomalous dispersion.

Cell and atoms:
a = 7.9315 Å, b = 7.9315 Å, c = 7.9315 Å
α = 60.00°, β = 60.00°, γ = 60.00°
Fractional positions:
Tb1 0.0000 0.0000 0.0000
Pu1 0.0000 0.0000 0.5000
Pu2 0.0000 0.5000 0.0000
Pu3 0.0000 0.5000 0.5000
Pu4 0.5000 0.0000 0.0000
Pu5 0.5000 0.0000 0.5000
Pu6 0.5000 0.5000 0.0000
S1 0.2470 0.2470 0.7530
S2 0.2470 0.7530 0.2470
S3 0.2470 0.7530 0.7530
S4 0.2500 0.2500 0.2500
S5 0.7500 0.7500 0.7500
S6 0.7530 0.2470 0.2470
S7 0.7530 0.2470 0.7530
S8 0.7530 0.7530 0.2470

The 10 most intense peaks (2θ = 10–80°), by angle:
d 5.608, 2θ = 15.80°, I = 15
d 3.966, 2θ = 22.42°, I = 14
d 3.238, 2θ = 27.55°, I = 95
d 2.804, 2θ = 31.91°, I = 100
d 1.983, 2θ = 45.76°, I = 74
d 1.691, 2θ = 54.25°, I = 48
d 1.619, 2θ = 56.87°, I = 26
d 1.402, 2θ = 66.71°, I = 12
d 1.287, 2θ = 73.62°, I = 20
d 1.254, 2θ = 75.86°, I = 34

=====

[4]
For Tb3PuTh4S8, a cell relaxed with GGA-PBE gives the simulated XRD peak list in this record (CuKα).
Neutral-atom scattering factors, no anomalous dispersion.

Cell and atoms:
a = 8.0727 Å, b = 8.0727 Å, c = 8.0727 Å
α = 58.38°, β = 58.38°, γ = 58.38°
Fractional positions:
Tb1 0.0000 0.5000 0.5000
Tb2 0.5000 0.0000 0.5000
Tb3 0.5000 0.5000 0.0000
Pu1 0.0000 0.0000 0.0000
Th1 0.0000 0.0000 0.5000
Th2 0.0000 0.5000 0.0000
Th3 0.5000 0.0000 0.0000
Th4 0.5000 0.5000 0.5000
S1 0.2464 0.2464 0.7445
S2 0.2464 0.7445 0.2464
S3 0.2544 0.2544 0.2544
S4 0.2555 0.7536 0.7536
S5 0.7445 0.2464 0.2464
S6 0.7456 0.7456 0.7456
S7 0.7536 0.2555 0.7536
S8 0.7536 0.7536 0.2555

The 10 most intense peaks (2θ = 10–80°), by angle:
d 3.336, 2θ = 26.73°, I = 26
d 3.227, 2θ = 27.64°, I = 71
d 2.817, 2θ = 31.76°, I = 100
d 2.017, 2θ = 44.94°, I = 38
d 1.968, 2θ = 46.11°, I = 36
d 1.726, 2θ = 53.06°, I = 13
d 1.695, 2θ = 54.10°, I = 24
d 1.614, 2θ = 57.08°, I = 19
d 1.272, 2θ = 74.58°, I = 17
d 1.248, 2θ = 76.31°, I = 16

=====

[5]
For PuTlTeS, a cell relaxed with GGA-PBE gives the simulated XRD peak list in this record (CuKα).
Neutral-atom scattering factors, no anomalous dispersion.

Cell and atoms:
a = 4.2743 Å, b = 4.2743 Å, c = 23.6811 Å
α = 90.00°, β = 90.00°, γ = 120.00°
Fractional positions:
Pu1 0.0000 0.0000 0.0000
Pu2 0.3333 0.6667 0.6667
Pu3 0.6667 0.3333 0.3333
Tl1 0.0000 0.0000 0.8419
Tl2 0.3333 0.6667 0.5085
Tl3 0.6667 0.3333 0.1752
Te1 0.0000 0.0000 0.4162
Te2 0.3333 0.6667 0.0829
Te3 0.6667 0.3333 0.7496
S1 0.0000 0.0000 0.6162
S2 0.3333 0.6667 0.2829
S3 0.6667 0.3333 0.9495

The 10 most intense peaks (2θ = 10–80°), by angle:
d 3.947, 2θ = 22.53°, I = 23
d 3.657, 2θ = 24.34°, I = 42
d 3.533, 2θ = 25.21°, I = 74
d 2.917, 2θ = 30.65°, I = 100
d 2.497, 2θ = 35.96°, I = 68
d 2.137, 2θ = 42.29°, I = 58
d 1.879, 2θ = 48.44°, I = 20
d 1.724, 2θ = 53.13°, I = 22
d 1.450, 2θ = 64.24°, I = 26
d 1.342, 2θ = 70.14°, I = 19

=====

[6]
For YPuTeS, a cell relaxed with GGA-PBE gives the simulated XRD peak list in this record (CuKα).
Neutral-atom scattering factors, no anomalous dispersion.

Cell and atoms:
a = 4.0936 Å, b = 4.0936 Å, c = 21.1222 Å
α = 90.00°, β = 90.00°, γ = 120.00°
Fractional positions:
Y1 0.0000 0.0000 0.0000
Y2 0.3333 0.6667 0.6667
Y3 0.6667 0.3333 0.3333
Pu1 0.0000 0.0000 0.5258
Pu2 0.3333 0.6667 0.1925
Pu3 0.6667 0.3333 0.8591
Te1 0.0000 0.0000 0.7613
Te2 0.3333 0.6667 0.4280
Te3 0.6667 0.3333 0.0946
S1 0.0000 0.0000 0.2639
S2 0.3333 0.6667 0.9306
S3 0.6667 0.3333 0.5973

The 10 most intense peaks (2θ = 10–80°), by angle:
d 7.041, 2θ = 12.57°, I = 20
d 3.496, 2θ = 25.48°, I = 24
d 3.361, 2θ = 26.52°, I = 17
d 2.943, 2θ = 30.37°, I = 100
d 2.716, 2θ = 32.98°, I = 25
d 2.118, 2θ = 42.70°, I = 32
d 2.047, 2θ = 44.25°, I = 38
d 1.680, 2θ = 54.61°, I = 19
d 1.543, 2θ = 59.97°, I = 15
d 1.299, 2θ = 72.82°, I = 16

=====

[7]
For PuThS3, a cell relaxed with GGA-PBE gives the simulated XRD peak list in this record (CuKα).
Neutral-atom scattering factors, no anomalous dispersion.

Cell and atoms:
a = 7.1971 Å, b = 7.1971 Å, c = 7.3032 Å
α = 90.00°, β = 90.00°, γ = 120.00°
Fractional positions:
Pu1 0.0000 0.0000 0.0000
Pu2 0.0000 0.0000 0.5000
Th1 0.3333 0.6667 0.0000
Th2 0.3333 0.6667 0.5000
S1 0.1013 0.3328 0.2500
S2 0.1013 0.7685 0.7500
S3 0.2315 0.3328 0.7500
S4 0.2315 0.8987 0.2500
S5 0.6672 0.7685 0.2500
S6 0.6672 0.8987 0.7500

The 10 most intense peaks (2θ = 10–80°), by angle:
d 6.233, 2θ = 14.21°, I = 100
d 3.652, 2θ = 24.38°, I = 18
d 3.599, 2θ = 24.74°, I = 72
d 3.151, 2θ = 28.33°, I = 24
d 2.563, 2θ = 35.01°, I = 85
d 2.370, 2θ = 37.96°, I = 26
d 2.356, 2θ = 38.20°, I = 17
d 2.078, 2θ = 43.56°, I = 21
d 1.806, 2θ = 50.54°, I = 25
d 1.275, 2θ = 74.44°, I = 18

=====

[8]
For PuThS, a cell relaxed with GGA-PBE gives the simulated XRD peak list in this record (CuKα).
Neutral-atom scattering factors, no anomalous dispersion.

Cell and atoms:
a = 9.4627 Å, b = 9.4627 Å, c = 3.8414 Å
α = 90.00°, β = 90.00°, γ = 90.00°
Fractional positions:
Pu1 0.0300 0.3136 0.0000
Pu2 0.3136 0.9700 0.5000
Pu3 0.6864 0.0300 0.5000
Pu4 0.9700 0.6864 0.0000
Th1 0.2666 0.5449 0.5000
Th2 0.4551 0.2666 0.0000
Th3 0.5449 0.7334 0.0000
Th4 0.7334 0.4551 0.5000
S1 0.2291 0.2470 0.5000
S2 0.2470 0.7709 0.0000
S3 0.7530 0.2291 0.0000
S4 0.7709 0.7530 0.5000

The 10 most intense peaks (2θ = 10–80°), by angle:
d 3.346, 2θ = 26.64°, I = 40
d 2.992, 2θ = 29.86°, I = 22
d 2.982, 2θ = 29.96°, I = 100
d 2.624, 2θ = 34.16°, I = 14
d 2.363, 2θ = 38.09°, I = 32
d 1.929, 2θ = 47.12°, I = 10
d 1.921, 2θ = 47.33°, I = 11
d 1.854, 2θ = 49.14°, I = 19
d 1.698, 2θ = 54.01°, I = 18
d 1.666, 2θ = 55.14°, I = 12

=====

[9]
For PuTlS, a cell relaxed with GGA-PBE gives the simulated XRD peak list in this record (CuKα).
Neutral-atom scattering factors, no anomalous dispersion.

Cell and atoms:
a = 9.2921 Å, b = 9.2921 Å, c = 9.2921 Å
α = 28.97°, β = 28.97°, γ = 28.97°
Fractional positions:
Pu1 0.1068 0.1068 0.1068
Pu2 0.8932 0.8932 0.8932
Tl1 0.3594 0.3594 0.3594
Tl2 0.6406 0.6406 0.6406
S1 0.2090 0.2090 0.2090
S2 0.7910 0.7910 0.7910

The 10 most intense peaks (2θ = 10–80°), by angle:
d 3.447, 2θ = 25.85°, I = 100
d 2.965, 2θ = 30.14°, I = 12
d 2.768, 2θ = 32.34°, I = 22
d 2.569, 2θ = 34.93°, I = 24
d 2.324, 2θ = 38.75°, I = 54
d 2.078, 2θ = 43.55°, I = 15
d 1.927, 2θ = 47.17°, I = 21
d 1.829, 2θ = 49.86°, I = 28
d 1.483, 2θ = 62.63°, I = 18
d 1.413, 2θ = 66.14°, I = 17

=====

[10]
For TmPu6S8, a cell relaxed with GGA-PBE gives the simulated XRD peak list in this record (CuKα).
Neutral-atom scattering factors, no anomalous dispersion.

Cell and atoms:
a = 7.9204 Å, b = 7.9204 Å, c = 7.9204 Å
α = 60.00°, β = 60.00°, γ = 60.00°
Fractional positions:
Tm1 0.0000 0.0000 0.0000
Pu1 0.0000 0.0000 0.5000
Pu2 0.0000 0.5000 0.0000
Pu3 0.0000 0.5000 0.5000
Pu4 0.5000 0.0000 0.0000
Pu5 0.5000 0.0000 0.5000
Pu6 0.5000 0.5000 0.0000
S1 0.2436 0.2436 0.7564
S2 0.2436 0.7564 0.2436
S3 0.2436 0.7564 0.7564
S4 0.2500 0.2500 0.2500
S5 0.7500 0.7500 0.7500
S6 0.7564 0.2436 0.2436
S7 0.7564 0.2436 0.7564
S8 0.7564 0.7564 0.2436

The 10 most intense peaks (2θ = 10–80°), by angle:
d 5.601, 2θ = 15.82°, I = 14
d 3.960, 2θ = 22.45°, I = 12
d 3.234, 2θ = 27.59°, I = 96
d 2.800, 2θ = 31.96°, I = 100
d 1.980, 2θ = 45.83°, I = 74
d 1.689, 2θ = 54.33°, I = 49
d 1.617, 2θ = 56.96°, I = 26
d 1.400, 2θ = 66.82°, I = 12
d 1.285, 2θ = 73.74°, I = 20
d 1.252, 2θ = 75.99°, I = 34

=====

[11]
For Tm6PuS8, a cell relaxed with GGA-PBE gives the simulated XRD peak list in this record (CuKα).
Neutral-atom scattering factors, no anomalous dispersion.

Cell and atoms:
a = 7.6922 Å, b = 7.6922 Å, c = 7.6922 Å
α = 60.00°, β = 60.00°, γ = 60.00°
Fractional positions:
Tm1 0.0000 0.0000 0.5000
Tm2 0.0000 0.5000 0.0000
Tm3 0.0000 0.5000 0.5000
Tm4 0.5000 0.0000 0.0000
Tm5 0.5000 0.0000 0.5000
Tm6 0.5000 0.5000 0.0000
Pu1 0.0000 0.0000 0.0000
S1 0.2500 0.2500 0.2500
S2 0.2561 0.2561 0.7439
S3 0.2561 0.7439 0.2561
S4 0.2561 0.7439 0.7439
S5 0.7439 0.2561 0.2561
S6 0.7439 0.2561 0.7439
S7 0.7439 0.7439 0.2561
S8 0.7500 0.7500 0.7500

The 10 most intense peaks (2θ = 10–80°), by angle:
d 6.281, 2θ = 14.10°, I = 22
d 3.280, 2θ = 27.19°, I = 16
d 3.140, 2θ = 28.42°, I = 80
d 2.720, 2θ = 32.93°, I = 100
d 1.923, 2θ = 47.27°, I = 72
d 1.640, 2θ = 56.08°, I = 39
d 1.570, 2θ = 58.81°, I = 25
d 1.360, 2θ = 69.07°, I = 12
d 1.248, 2θ = 76.31°, I = 16
d 1.216, 2θ = 78.67°, I = 32

=====

[12]
For Tm2PuS4, a cell relaxed with GGA-PBE gives the simulated XRD peak list in this record (CuKα).
Neutral-atom scattering factors, no anomalous dispersion.

Cell and atoms:
a = 8.0388 Å, b = 8.0388 Å, c = 8.0388 Å
α = 120.53°, β = 119.97°, γ = 89.57°
Fractional positions:
Tm1 0.0000 0.0000 0.5000
Tm2 0.0000 0.5000 0.0000
Tm3 0.3735 0.1235 0.2500
Tm4 0.6265 0.8765 0.7500
Pu1 0.0000 0.5000 0.5000
Pu2 0.5000 0.5000 0.0000
S1 0.2303 0.7479 0.4824
S2 0.2345 0.2521 0.9824
S3 0.2378 0.2439 0.5061
S4 0.2378 0.7317 0.9939
S5 0.7622 0.2683 0.0061
S6 0.7622 0.7561 0.4939
S7 0.7655 0.7479 0.0176
S8 0.7697 0.2521 0.5176

The 10 most intense peaks (2θ = 10–80°), by angle:
d 6.546, 2θ = 13.53°, I = 28
d 4.019, 2θ = 22.12°, I = 34
d 3.435, 2θ = 25.94°, I = 73
d 3.425, 2θ = 26.02°, I = 89
d 3.409, 2θ = 26.14°, I = 58
d 2.831, 2θ = 31.60°, I = 30
d 2.194, 2θ = 41.14°, I = 32
d 2.182, 2θ = 41.38°, I = 33
d 2.177, 2θ = 41.48°, I = 28
d 2.010, 2θ = 45.11°, I = 100

=====

[13]
For Y2Tm3PuS6, a cell relaxed with GGA-PBE gives the simulated XRD peak list in this record (CuKα).
Neutral-atom scattering factors, no anomalous dispersion.

Cell and atoms:
a = 8.6953 Å, b = 8.6953 Å, c = 7.8069 Å
α = 103.17°, β = 103.17°, γ = 25.69°
Fractional positions:
Y1 0.1641 0.1641 0.3289
Y2 0.8359 0.8359 0.6711
Tm1 0.1655 0.1655 0.8359
Tm2 0.5000 0.5000 0.5000
Tm3 0.8345 0.8345 0.1641
Pu1 0.5000 0.5000 0.0000
S1 0.0019 0.0019 0.7440
S2 0.3303 0.3303 0.9192
S3 0.3338 0.3338 0.4125
S4 0.6662 0.6662 0.5875
S5 0.6697 0.6697 0.0808
S6 0.9981 0.9981 0.2560

The 10 most intense peaks (2θ = 10–80°), by angle:
d 3.182, 2θ = 28.04°, I = 40
d 3.162, 2θ = 28.22°, I = 39
d 2.747, 2θ = 32.60°, I = 100
d 1.952, 2θ = 46.53°, I = 12
d 1.945, 2θ = 46.70°, I = 24
d 1.940, 2θ = 46.82°, I = 24
d 1.933, 2θ = 47.01°, I = 12
d 1.652, 2θ = 55.63°, I = 13
d 1.581, 2θ = 58.37°, I = 12
d 1.374, 2θ = 68.29°, I = 11